Entry 1:
# TlFe2Cl4
Computed X-ray powder pattern, Cu Kα, 1.54184 Å. Input: a GGA-PBE-relaxed structure.

Cell and atoms:
a = 5.2053 Å, b = 6.8087 Å, c = 6.8573 Å
α = 64.30°, β = 71.41°, γ = 70.41°
Space group P-1 (No. 2)
Unique sites:
Tl  0.0000  0.0000  0.0000
Fe  0.2139  0.5078  0.5334
Cl  0.1849  0.4493  0.2169
Cl  0.4314  0.8093  0.3446

Most intense lines, 10 to 90 degrees two-theta, most intense first:
index  2theta  Rel. int.
0 1 1  16.6  100
1 1 2  27.6  42
1 0 -1  25.9  28
1 2 0  31.4  26
1 0 0  18.5  26
1 -1 1  31.1  26
0 1 -1  24.5  25
0 2 0  29.9  24
1 1 1  19.5  20
2 3 2  46.4  19



Entry 2:
# BaMo2Ru
Computed X-ray powder pattern, Cu Kα, 1.54184 Å. Input: a GGA-PBE-relaxed structure.

Cell and atoms:
a = 3.2381 Å, b = 3.2381 Å, c = 8.0927 Å
α = 90.00°, β = 90.00°, γ = 90.00°
Space group P4mm (No. 99)
Unique sites:
Ba  0.0000  0.0000  0.0000
Mo  0.0000  0.0000  0.5123
Mo  0.5000  0.5000  0.3373
Ru  0.5000  0.5000  0.6766

Most intense lines, 10 to 90 degrees two-theta, most intense first:
index  2theta  Rel. int.
1 0 2  35.5  100
1 1 0  39.4  61
2 1 2  68.9  28
1 0 4  53.4  26
1 0 1  29.7  24
2 0 0  56.9  21
0 0 1  10.9  17
1 1 3  52.4  16
2 1 4  81.8  15
0 0 3  33.2  15



Entry 3:
# U2Al3Au5
Computed X-ray powder pattern, Cu Kα, 1.54184 Å. Input: a GGA-PBE-relaxed structure.

Cell and atoms:
a = 4.5620 Å, b = 25.1781 Å, c = 6.8773 Å
α = 90.00°, β = 90.00°, γ = 90.00°
Space group Cmc2_1 (No. 36)
Unique sites:
U  0.0000  0.0127  0.0000
U  0.0000  0.3270  0.9729
Al  0.0000  0.1072  0.7001
Al  0.0000  0.2771  0.4692
Al  0.0000  0.4482  0.7980
Au  0.0000  0.1036  0.2972
Au  0.0000  0.2089  0.7556
Au  0.0000  0.2116  0.1793
Au  0.0000  0.3801  0.5059
Au  0.0000  0.4490  0.1862

Most intense lines, 10 to 90 degrees two-theta, most intense first:
index  2theta  Rel. int.
1 3 2  34.3  100
2 0 0  39.5  29
1 9 0  37.7  23
1 13 3  66.4  21
3 3 2  68.4  18
1 3 1  25.7  16
0 6 2  33.7  12
0 4 3  41.9  12
0 10 1  38.1  11
2 4 3  59.0  9



Entry 4:
# RbNbSe2O8
Computed X-ray powder pattern, Cu Kα, 1.54184 Å. Input: a GGA-PBE-relaxed structure.

Cell and atoms:
a = 9.7074 Å, b = 5.5952 Å, c = 8.4568 Å
α = 90.00°, β = 91.33°, γ = 90.00°
Space group C2/m (No. 12)
Unique sites:
Rb  0.0000  0.0000  0.0000
Nb  0.0000  0.0000  0.5000
Se  0.1433  0.5000  0.6983
O  0.0268  0.2588  0.6738
O  0.1873  0.5000  0.8884
O  0.1913  0.0000  0.4579

Most intense lines, 10 to 90 degrees two-theta, most intense first:
index  2theta  Rel. int.
0 2 0  32.0  100
1 1 2  28.2  95
2 0 1  21.3  60
2 0 0  18.3  48
0 0 1  10.5  46
1 1 -1  21.0  42
1 1 -2  27.8  39
2 0 -1  20.9  37
2 2 -2  42.8  24
2 0 -2  27.7  22



Entry 5:
# Hf8Mo5S
Computed X-ray powder pattern, Cu Kα, 1.54184 Å. Input: a GGA-PBE-relaxed structure.

Cell and atoms:
a = 8.4585 Å, b = 9.0814 Å, c = 14.1872 Å
α = 90.00°, β = 90.00°, γ = 90.00°
Space group Amm2 (No. 38)
Unique sites:
Hf  0.0000  0.0000  0.0649
Hf  0.0000  0.1774  0.8799
Hf  0.1946  0.0000  0.3992
Hf  0.2043  0.2106  0.2102
Hf  0.3085  0.2143  0.0000
Hf  0.3105  0.0000  0.8090
Hf  0.5000  0.0000  0.1592
Mo  0.0000  0.0000  0.7161
Mo  0.0000  0.1645  0.5481
Mo  0.2530  0.0000  0.6041
Mo  0.5000  0.0000  0.4833
Mo  0.5000  0.1621  0.6620
Mo  0.5000  0.1654  0.3259
S  0.0000  0.0000  0.2510
S  0.5000  0.0000  0.9629

Most intense lines, 10 to 90 degrees two-theta, most intense first:
index  2theta  Rel. int.
1 0 6  39.5  100
0 4 0  39.7  93
1 3 3  36.8  88
2 2 4  38.6  79
2 3 1  37.1  65
3 1 1  33.9  51
2 2 2  31.5  44
5 3 3  66.3  43
0 2 4  32.0  37
0 3 3  35.2  37



Entry 6:
# Rb2LaInTe4
Computed X-ray powder pattern, Cu Kα, 1.54184 Å. Input: a GGA-PBE-relaxed structure.

Cell and atoms:
a = 9.3317 Å, b = 9.7884 Å, c = 13.7668 Å
α = 90.00°, β = 90.00°, γ = 90.00°
Space group Imma (No. 74)
Unique sites:
Rb  0.0000  0.0000  0.0000
Rb  0.2500  0.2500  0.2500
La  0.0000  0.0000  0.5000
In  0.2500  0.2500  0.7500
Te  0.0000  0.0443  0.7396
Te  0.2258  0.2500  0.5159

Most intense lines, 10 to 90 degrees two-theta, most intense first:
index  2theta  Rel. int.
2 2 0  26.4  100
2 2 4  37.3  75
0 0 4  25.9  55
4 0 4  47.1  20
4 0 0  38.6  19
0 4 4  45.5  17
0 4 0  36.7  17
2 2 8  60.4  15
0 1 1  11.1  14
4 4 4  61.1  13